(1)
Starting from a PBE-relaxed structure, the XRD peak list of AcPS6 was computed for Cu Ka.

Structure:
Cell: 5.503 5.539 7.718 Å, 89.70 89.47 61.72°
Space group P-1 (No. 2)
Symmetry-distinct sites (fractional):
Ac: 0.000 0.000 0.000 (multiplicity 1)
P: 0.500 0.000 0.500 (multiplicity 1)
S: 0.150 0.094 0.634 (multiplicity 2)
S: 0.196 0.251 0.292 (multiplicity 2)
S: 0.361 0.349 0.077 (multiplicity 2)

The 12 most intense peaks (10 to 80 degrees two-theta), most intense first:
2theta	I/Imax
11.47	100.0
18.18	82.4
21.93	72.9
18.31	46.7
34.50	43.2
31.59	43.1
34.36	42.8
39.56	39.8
29.52	38.4
21.73	37.7
21.56	37.5
29.72	33.0

***

(2)
Starting from a PBE-relaxed structure, the XRD peak list of Ac6TeP3S2 was computed for Cu Ka.

Structure:
Cell: 19.469 4.437 8.951 Å, 90.00 103.82 90.00°
Space group C2/m (No. 12)
Symmetry-distinct sites (fractional):
Ac: 0.001 0.000 0.229 (multiplicity 4)
Ac: 0.165 0.500 0.087 (multiplicity 4)
Ac: 0.175 0.500 0.582 (multiplicity 4)
Te: 0.000 0.500 0.500 (multiplicity 2)
P: 0.000 0.500 0.000 (multiplicity 2)
P: 0.165 0.000 0.331 (multiplicity 4)
S: 0.169 0.000 0.835 (multiplicity 4)

The 12 most intense peaks (10 to 80 degrees two-theta), most intense first:
2theta	I/Imax
28.32	100.0
24.52	58.2
40.64	38.3
40.35	24.9
50.27	20.4
47.91	19.6
24.28	19.1
66.55	17.4
40.30	12.6
58.59	12.6
66.14	10.8
48.04	10.1

***

(3)
Starting from a PBE-relaxed structure, the XRD peak list of Ac4Sb3P was computed for Cu Ka.

Structure:
Cell: 8.178 9.447 8.149 Å, 90.00 109.51 90.00°
Space group P2/c (No. 13)
Symmetry-distinct sites (fractional):
Ac: 0.235 0.117 0.003 (multiplicity 4)
Ac: 0.244 0.366 0.491 (multiplicity 4)
Sb: 0.000 0.374 0.750 (multiplicity 2)
Sb: 0.500 0.124 0.750 (multiplicity 2)
Sb: 0.500 0.375 0.250 (multiplicity 2)
P: 0.000 0.122 0.250 (multiplicity 2)

The 12 most intense peaks (10 to 80 degrees two-theta), most intense first:
2theta	I/Imax
26.73	100.0
38.22	39.0
38.11	38.7
23.10	26.2
47.16	20.9
68.92	19.4
62.33	18.2
62.18	17.8
55.08	13.2
45.06	10.2
47.34	7.1
69.16	6.8

***

(4)
Starting from a PBE-relaxed structure, the XRD peak list of Ac7SbP5 was computed for Cu Ka.

Structure:
Cell: 4.474 14.649 26.424 Å, 90.00 90.00 90.00°
Space group Cmcm (No. 63)
Symmetry-distinct sites (fractional):
Ac: 0.000 0.032 0.250 (multiplicity 4)
Ac: 0.000 0.136 0.534 (multiplicity 8)
Ac: 0.000 0.322 0.172 (multiplicity 8)
Ac: 0.000 0.411 0.604 (multiplicity 8)
Sb: 0.000 0.297 0.750 (multiplicity 4)
P: 0.000 0.045 0.643 (multiplicity 8)
P: 0.000 0.227 0.073 (multiplicity 8)
P: 0.000 0.500 0.000 (multiplicity 4)

The 12 most intense peaks (10 to 80 degrees two-theta), most intense first:
2theta	I/Imax
26.57	100.0
27.88	84.9
28.90	62.5
24.79	61.6
48.94	39.2
26.81	38.0
48.17	33.9
40.32	32.1
40.57	28.2
65.88	26.7
24.54	24.7
40.11	22.2

***

(5)
Starting from a PBE-relaxed structure, the XRD peak list of Ac8Sb4PSe3 was computed for Cu Ka.

Structure:
Cell: 9.2951 9.2951 22.5853 Å, 90.00 90.00 120.00°
Space group R-3m (No. 166, hexagonal axes)
Symmetry-distinct sites (fractional):
Ac: 0.0000 0.0000 0.2477 (multiplicity 6)
Ac: 0.0078 0.5039 0.2458 (multiplicity 18)
Sb: 0.0000 0.0000 0.0000 (multiplicity 3)
Sb: 0.0000 0.5000 0.0000 (multiplicity 9)
P: 0.0000 0.0000 0.5000 (multiplicity 3)
Se: 0.0000 0.5000 0.5000 (multiplicity 9)

The 12 most intense peaks (10 to 80 degrees two-theta), most intense first:
2theta	I/Imax
27.21	100.0
38.75	39.6
38.97	38.2
23.46	22.1
47.99	21.4
63.31	18.7
63.62	17.7
70.29	13.5
56.13	13.3
45.86	11.9
23.64	7.1
70.14	6.9

***

(6)
Starting from a PBE-relaxed structure, the XRD peak list of Ac2PSe5 was computed for Cu Ka.

Structure:
Cell: 7.180 7.180 8.684 Å, 90.00 90.00 90.00°
Space group I4mm (No. 107)
Symmetry-distinct sites (fractional):
Ac: 0.000 0.500 0.000 (multiplicity 4)
P: 0.000 0.000 0.219 (multiplicity 2)
Se: 0.000 0.000 0.964 (multiplicity 2)
Se: 0.240 0.240 0.257 (multiplicity 8)

The 12 most intense peaks (10 to 80 degrees two-theta), most intense first:
2theta	I/Imax
32.36	100.0
35.36	46.2
27.02	39.4
17.47	35.8
61.59	31.2
55.71	22.7
45.06	19.9
50.87	16.2
41.60	13.5
67.73	12.5
39.70	10.2
70.10	9.7

***

(7)
Starting from a PBE-relaxed structure, the XRD peak list of Ac5PSe4 was computed for Cu Ka.

Structure:
Cell: 4.459 4.459 31.589 Å, 90.00 90.00 90.00°
Space group I4/mmm (No. 139)
Symmetry-distinct sites (fractional):
Ac: 0.000 0.000 0.000 (multiplicity 2)
Ac: 0.000 0.000 0.202 (multiplicity 4)
Ac: 0.000 0.000 0.404 (multiplicity 4)
P: 0.000 0.000 0.500 (multiplicity 2)
Se: 0.000 0.000 0.101 (multiplicity 4)
Se: 0.000 0.000 0.302 (multiplicity 4)

The 12 most intense peaks (10 to 80 degrees two-theta), most intense first:
2theta	I/Imax
28.29	100.0
40.44	76.8
24.44	49.7
50.08	27.9
73.54	26.2
47.81	26.1
66.22	23.3
66.29	12.3
64.36	10.8
58.56	8.9
78.86	6.4
58.43	4.0

***

(8)
Starting from a PBE-relaxed structure, the XRD peak list of AcYPSe was computed for Cu Ka.

Structure:
Cell: 4.2157 4.2157 21.2660 Å, 90.00 90.00 120.00°
Space group R3m (No. 160, hexagonal axes)
Symmetry-distinct sites (fractional):
Ac: 0.0000 0.0000 0.0000 (multiplicity 3)
Y: 0.0000 0.0000 0.4870 (multiplicity 3)
P: 0.0000 0.0000 0.7520 (multiplicity 3)
Se: 0.0000 0.0000 0.2356 (multiplicity 3)

The 12 most intense peaks (10 to 80 degrees two-theta), most intense first:
2theta	I/Imax
29.68	100.0
42.91	37.6
42.05	35.3
25.80	32.3
53.04	19.6
24.74	19.3
70.51	16.7
32.32	16.6
12.49	15.9
69.27	13.8
78.02	11.6
25.13	11.5

***

(9)
Starting from a PBE-relaxed structure, the XRD peak list of AcZnPSe was computed for Cu Ka.

Structure:
Cell: 4.3682 4.3682 42.2474 Å, 90.00 90.00 120.00°
Space group R-3m (No. 166, hexagonal axes)
Symmetry-distinct sites (fractional):
Ac: 0.0000 0.0000 0.0868 (multiplicity 6)
Zn: 0.0000 0.0000 0.3116 (multiplicity 6)
P: 0.0000 0.0000 0.3702 (multiplicity 6)
Se: 0.0000 0.0000 0.2102 (multiplicity 6)

The 12 most intense peaks (10 to 80 degrees two-theta), most intense first:
2theta	I/Imax
27.83	100.0
12.57	94.4
41.34	92.3
31.75	80.4
23.61	61.1
25.80	58.9
43.57	50.1
36.45	40.4
29.04	33.1
43.38	29.3
57.65	29.0
25.00	27.2

***

(10)
Starting from a PBE-relaxed structure, the XRD peak list of Ac2SmP3 was computed for Cu Ka.

Structure:
Cell: 8.677 12.273 26.030 Å, 90.00 90.00 90.00°
Space group Fddd (No. 70, origin choice 2)
Symmetry-distinct sites (fractional):
Ac: 0.125 0.125 0.042 (multiplicity 16)
Ac: 0.125 0.125 0.374 (multiplicity 16)
Sm: 0.125 0.125 0.541 (multiplicity 16)
P: 0.112 0.375 0.875 (multiplicity 16)
P: 0.119 0.369 0.711 (multiplicity 32)

The 12 most intense peaks (10 to 80 degrees two-theta), most intense first:
2theta	I/Imax
29.11	100.0
25.14	99.7
41.63	75.8
49.25	52.4
68.37	35.2
51.60	27.1
75.98	26.2
66.41	21.9
60.34	12.8
12.95	2.6
21.18	0.9
24.29	0.9

***

(11)
Starting from a PBE-relaxed structure, the XRD peak list of Ac7SnP5 was computed for Cu Ka.

Structure:
Cell: 4.469 14.663 26.534 Å, 90.00 90.00 90.00°
Space group Cmcm (No. 63)
Symmetry-distinct sites (fractional):
Ac: 0.000 0.030 0.250 (multiplicity 4)
Ac: 0.000 0.137 0.534 (multiplicity 8)
Ac: 0.000 0.321 0.172 (multiplicity 8)
Ac: 0.000 0.411 0.605 (multiplicity 8)
Sn: 0.000 0.298 0.750 (multiplicity 4)
P: 0.000 0.045 0.643 (multiplicity 8)
P: 0.000 0.227 0.072 (multiplicity 8)
P: 0.000 0.500 0.000 (multiplicity 4)

The 12 most intense peaks (10 to 80 degrees two-theta), most intense first:
2theta	I/Imax
26.47	100.0
27.87	85.7
24.78	62.0
28.89	61.2
48.92	40.5
26.78	38.7
40.37	32.0
40.53	27.7
24.52	24.7
48.00	23.5
39.99	22.2
65.80	20.1

***

(12)
Starting from a PBE-relaxed structure, the XRD peak list of Ac4Sn2P was computed for Cu Ka.

Structure:
Cell: 12.781 4.852 9.455 Å, 90.00 122.13 90.00°
Space group C2/m (No. 12)
Symmetry-distinct sites (fractional):
Ac: 0.084 0.000 0.364 (multiplicity 4)
Ac: 0.171 0.500 0.076 (multiplicity 4)
Sn: 0.129 0.500 0.659 (multiplicity 4)
P: 0.000 0.000 0.000 (multiplicity 2)

The 12 most intense peaks (10 to 80 degrees two-theta), most intense first:
2theta	I/Imax
26.57	100.0
27.94	98.3
28.34	67.2
30.89	48.6
37.06	47.9
25.01	39.6
33.28	37.1
24.26	34.5
47.30	34.2
45.87	32.0
53.71	28.6
34.65	27.6

***

(13)
Starting from a PBE-relaxed structure, the XRD peak list of AcTbP was computed for Cu Ka.

Structure:
Cell: 4.0810 4.0810 41.3171 Å, 90.00 90.00 120.00°
Space group R-3m (No. 166, hexagonal axes)
Symmetry-distinct sites (fractional):
Ac: 0.0000 0.0000 0.2127 (multiplicity 6)
Tb: 0.0000 0.0000 0.3723 (multiplicity 6)
P: 0.0000 0.0000 0.0749 (multiplicity 6)

The 12 most intense peaks (10 to 80 degrees two-theta), most intense first:
2theta	I/Imax
29.46	100.0
27.45	67.7
44.40	39.3
25.88	37.3
52.10	34.4
25.57	33.7
39.79	25.9
49.20	19.0
54.18	18.4
72.56	15.6
45.28	13.4
71.73	12.5